(1)
Calculated powder XRD pattern of LiHfHg3Te4 for Cu Kα (λ = 1.5418 Å), from a DFT-relaxed cell (PBE, OQMD).
Peak positions follow from Bragg's law for the DFT cell and can differ from measured ones.

Atomic structure:
Lattice parameters (Å, degrees): 7.187 7.187 7.187 90.00 90.00 90.00
Space group P-43m (No. 215)
Symmetry-distinct sites (fractional):
Li1 0.000 0.000 0.000
Hf1 0.500 0.500 0.500
Hg1 0.000 0.500 0.500
Te1 0.276 0.276 0.276

Largest 10 diffraction maxima, low angle first, 2θ from 15° to 90°:
21.42 deg, rel. 64, hkl 1 1 1; 27.76 deg, rel. 22, hkl 2 1 0; 35.32 deg, rel. 100, hkl 2 2 0; 37.54 deg, rel. 23, hkl 2 2 1; 41.68 deg, rel. 31, hkl 3 1 1; 45.51 deg, rel. 23, hkl 3 2 0; 50.82 deg, rel. 17, hkl 4 0 0; 55.75 deg, rel. 12, hkl 3 3 1; 63.41 deg, rel. 32, hkl 4 2 2; 85.44 deg, rel. 12, hkl 6 2 0

(2)
Calculated powder XRD pattern of NaHfHg3S4 for Cu Kα (λ = 1.5418 Å), from a DFT-relaxed cell (PBE, OQMD).
Peak positions follow from Bragg's law for the DFT cell and can differ from measured ones.

Atomic structure:
Lattice parameters (Å, degrees): 7.265 7.802 10.570 90.00 106.11 90.00
Space group P2_1/m (No. 11)
Symmetry-distinct sites (fractional):
Na1 0.205 0.250 0.012
Hf1 0.272 0.750 0.234
Hg1 0.099 0.021 0.405
Hg2 0.271 0.250 0.616
S1 0.070 0.503 0.165
S2 0.377 0.750 0.469
S3 0.456 0.250 0.853

Largest 10 diffraction maxima, low angle first, 2θ from 15° to 90°:
17.30 deg, rel. 94, hkl 1 0 1; 17.47 deg, rel. 61, hkl 1 1 -1; 26.17 deg, rel. 100, hkl 1 2 0; 28.76 deg, rel. 47, hkl 1 2 1; 33.62 deg, rel. 53, hkl 1 2 2; 34.48 deg, rel. 74, hkl 2 2 0; 34.75 deg, rel. 52, hkl 1 2 -3; 40.02 deg, rel. 48, hkl 1 2 3; 42.75 deg, rel. 57, hkl 1 0 -5; 46.56 deg, rel. 39, hkl 0 4 0

(3)
Calculated powder XRD pattern of RbHfHg3O4 for Cu Kα (λ = 1.5418 Å), from a DFT-relaxed cell (PBE, OQMD).
Peak positions follow from Bragg's law for the DFT cell and can differ from measured ones.

Atomic structure:
Lattice parameters (Å, degrees): 6.031 6.031 6.031 90.00 90.00 90.00
Space group P-43m (No. 215)
Symmetry-distinct sites (fractional):
Rb1 0.000 0.000 0.000
Hf1 0.500 0.500 0.500
Hg1 0.000 0.500 0.500
O1 0.309 0.309 0.309

Largest 10 diffraction maxima, low angle first, 2θ from 15° to 90°:
25.58 deg, rel. 76, hkl 1 1 1; 29.63 deg, rel. 100, hkl 2 0 0; 33.22 deg, rel. 33, hkl 2 1 0; 42.39 deg, rel. 94, hkl 2 2 0; 45.10 deg, rel. 21, hkl 2 2 1; 50.17 deg, rel. 39, hkl 3 1 1; 52.57 deg, rel. 29, hkl 2 2 2; 61.50 deg, rel. 15, hkl 4 0 0; 69.73 deg, rel. 40, hkl 4 2 0; 77.55 deg, rel. 31, hkl 4 2 2

Copy entry 2 word for word.
Calculated powder XRD pattern of NaHfHg3S4 for Cu Kα (λ = 1.5418 Å), from a DFT-relaxed cell (PBE, OQMD).
Peak positions follow from Bragg's law for the DFT cell and can differ from measured ones.

Atomic structure:
Lattice parameters (Å, degrees): 7.265 7.802 10.570 90.00 106.11 90.00
Space group P2_1/m (No. 11)
Symmetry-distinct sites (fractional):
Na1 0.205 0.250 0.012
Hf1 0.272 0.750 0.234
Hg1 0.099 0.021 0.405
Hg2 0.271 0.250 0.616
S1 0.070 0.503 0.165
S2 0.377 0.750 0.469
S3 0.456 0.250 0.853

Largest 10 diffraction maxima, low angle first, 2θ from 15° to 90°:
17.30 deg, rel. 94, hkl 1 0 1; 17.47 deg, rel. 61, hkl 1 1 -1; 26.17 deg, rel. 100, hkl 1 2 0; 28.76 deg, rel. 47, hkl 1 2 1; 33.62 deg, rel. 53, hkl 1 2 2; 34.48 deg, rel. 74, hkl 2 2 0; 34.75 deg, rel. 52, hkl 1 2 -3; 40.02 deg, rel. 48, hkl 1 2 3; 42.75 deg, rel. 57, hkl 1 0 -5; 46.56 deg, rel. 39, hkl 0 4 0